This entry pairs a crystal structure of Pr8In2Au with its calculated powder diffractogram. Radiation: a wavelength of 1.5418 Å. Structure: a DFT-relaxed cell (PBE, Alexandria).
Intensities are scaled so that the largest is 100.

Structure:
a = 10.197 Å, b = 10.197 Å, c = 7.038 Å
α = 104.32°, β = 104.32°, γ = 30.28°
Sites, in units of the cell vectors:
Pr: 0.015 0.015 0.273
Pr: 0.210 0.210 0.804
Pr: 0.347 0.347 0.520
Pr: 0.407 0.407 0.036
Pr: 0.593 0.593 0.964
Pr: 0.653 0.653 0.480
Pr: 0.790 0.790 0.196
Pr: 0.985 0.985 0.727
In: 0.182 0.182 0.244
In: 0.818 0.818 0.756
Au: 0.500 0.500 0.500

Principal peaks in the range 2θ from 10° to 90°, most intense first:
| 2θ/deg | intensity |
| --- | --- |
| 30.52 | 100 |
| 33.66 | 89 |
| 32.58 | 72 |
| 28.83 | 65 |
| 34.88 | 39 |
| 36.44 | 35 |
| 28.11 | 33 |
| 27.82 | 31 |
| 29.09 | 30 |
| 62.14 | 26 |